[1]
The following is a calculated powder diffraction line list of In3Ga3Bi. It was derived from a structure optimized by DFT (GGA-PBE), using λ = 1.5418 Å (Cu Kα).

Structural model:
Unit cell a=8.4051 b=8.4051 c=17.2493 alpha=90.00 beta=90.00 gamma=120.00
Space group R-3 (No. 148, hexagonal axes)
One atom of each set of equivalent atoms:
In  0.0317  0.2398  0.2349
Ga  0.0474  0.2242  0.0658
Bi  0.0000  0.0000  0.4028

Top 10 peaks for 2θ = 15–90°, low angle first:
2theta  I (rel.)  index
26.27  12  1 1 3
28.63  21  0 1 5
31.11  38  0 0 6
32.97  100  2 1 1
34.21  27  3 -2 2
38.83  31  2 1 4
42.00  44  3 -2 5
49.67  18  2 1 7
58.07  26  1 4 0
67.35  25  5 -1 6

***

[2]
The following is a calculated powder diffraction line list of Tm8Mg. It was derived from a structure optimized by DFT (GGA-PBE), using λ = 1.5418 Å (Cu Kα).

Structural model:
Unit cell a=11.9378 b=11.9378 c=3.7259 alpha=90.00 beta=90.00 gamma=90.00
Space group I4/mmm (No. 139)
One atom of each set of equivalent atoms:
Tm  0.0000  0.3369  0.0000
Tm  0.1604  0.1604  0.5000
Mg  0.0000  0.0000  0.0000

Top 10 peaks for 2θ = 15–90°, low angle first:
2theta  I (rel.)  index
31.80  54  3 3 0
32.93  100  3 0 1
45.59  20  6 0 0
48.89  8  0 0 2
57.38  40  6 3 1
59.51  18  3 3 2
69.07  12  6 0 2
75.56  9  9 3 0
76.18  9  9 0 1
81.12  8  3 0 3

***

[3]
The following is a calculated powder diffraction line list of Pu3NiAg3S8. It was derived from a structure optimized by DFT (GGA-PBE), using λ = 1.5418 Å (Cu Kα).

Structural model:
Unit cell a=13.0399 b=7.8208 c=7.6080 alpha=90.00 beta=123.33 gamma=90.00
Space group C2/m (No. 12)
One atom of each set of equivalent atoms:
Pu  0.0000  0.0000  0.0000
Pu  0.2500  0.2500  0.5000
Ni  0.0000  0.5000  0.0000
Ag  0.0000  0.5000  0.5000
Ag  0.2500  0.2500  0.0000
S  0.0029  0.2668  0.2300
S  0.2309  0.5000  0.2371
S  0.2472  0.0000  0.2530

Top 10 peaks for 2θ = 15–90°, low angle first:
2theta  I (rel.)  index
16.26  22  2 0 0
26.77  15  2 0 1
28.08  56  2 2 0
29.19  17  4 0 -2
32.87  100  4 0 0
46.44  37  2 2 2
47.89  33  6 2 -2
55.80  19  4 4 -2
58.06  19  4 4 0
77.40  16  6 2 2

***

[4]
The following is a calculated powder diffraction line list of LiLa2Ag6. It was derived from a structure optimized by DFT (GGA-PBE), using λ = 1.5418 Å (Cu Kα).

Structural model:
Unit cell a=8.4701 b=8.4701 c=3.3543 alpha=90.00 beta=90.00 gamma=120.00
Space group P6/mmm (No. 191)
One atom of each set of equivalent atoms:
Li  0.0000  0.0000  0.0000
La  0.3333  0.6667  0.0000
Ag  0.0000  0.3271  0.5000

Top 10 peaks for 2θ = 15–90°, low angle first:
2theta  I (rel.)  index
26.57  13  0 0 1
34.10  100  1 1 1
36.76  97  3 0 0
45.93  17  3 0 1
51.00  31  2 2 1
54.73  10  0 0 2
64.50  30  4 1 1
66.20  16  3 3 0
67.75  30  3 0 2
88.12  13  5 2 1

***

[5]
The following is a calculated powder diffraction line list of Yb2Pb. It was derived from a structure optimized by DFT (GGA-PBE), using λ = 1.5418 Å (Cu Kα).

Structural model:
Unit cell a=7.0571 b=5.3891 c=9.5758 alpha=90.00 beta=90.00 gamma=90.00
Space group Pnma (No. 62)
One atom of each set of equivalent atoms:
Yb  0.0113  0.2500  0.2263
Yb  0.2110  0.2500  0.5789
Pb  0.2354  0.2500  0.9095

Top 10 peaks for 2θ = 15–90°, low angle first:
2theta  I (rel.)  index
31.50  43  2 0 2
31.72  93  2 1 1
32.60  100  0 1 3
33.25  51  0 2 0
45.80  16  2 0 4
46.45  29  2 2 2
57.77  24  0 0 6
58.45  17  2 3 1
59.00  19  0 3 3
62.58  22  4 1 3

***

[6]
The following is a calculated powder diffraction line list of CaPr7Sm3. It was derived from a structure optimized by DFT (GGA-PBE), using λ = 1.5418 Å (Cu Kα).

Structural model:
Unit cell a=11.9770 b=10.3902 c=6.6549 alpha=90.00 beta=94.77 gamma=90.00
Space group C2/m (No. 12)
One atom of each set of equivalent atoms:
Ca  0.0000  0.0000  0.0000
Pr  0.0000  0.0000  0.5000
Pr  0.2337  0.5000  0.7084
Pr  0.2467  0.1730  0.7559
Sm  0.0000  0.3312  0.5000
Sm  0.0000  0.5000  0.0000

Top 10 peaks for 2θ = 15–90°, low angle first:
2theta  I (rel.)  index
29.72  65  2 0 -2
29.95  58  4 0 0
30.34  100  1 3 1
31.95  46  2 0 2
36.27  65  3 3 -1
48.94  25  1 3 -3
49.25  24  5 3 1
55.95  18  3 3 3
61.83  14  2 6 -2
61.96  17  4 6 0

***

[7]
The following is a calculated powder diffraction line list of AlFe2Pb. It was derived from a structure optimized by DFT (GGA-PBE), using λ = 1.5418 Å (Cu Kα).

Structural model:
Unit cell a=3.2938 b=3.1046 c=6.5158 alpha=90.00 beta=97.69 gamma=90.00
Space group P2/m (No. 10)
One atom of each set of equivalent atoms:
Al  0.0000  0.0000  0.0000
Fe  0.4543  0.5000  0.8181
Pb  0.0000  0.0000  0.5000

Top 10 peaks for 2θ = 15–90°, low angle first:
2theta  I (rel.)  index
27.63  26  0 0 2
28.95  65  1 0 -1
31.99  79  0 1 1
32.34  28  1 0 1
36.43  43  1 0 -2
40.08  100  1 1 0
40.30  79  0 1 2
41.94  72  1 0 2
56.37  44  2 0 0
75.48  29  1 2 2

***

[8]
The following is a calculated powder diffraction line list of Tb5Er2. It was derived from a structure optimized by DFT (GGA-PBE), using λ = 1.5418 Å (Cu Kα).

Structural model:
Unit cell a=5.6336 b=5.6336 c=24.2584 alpha=90.00 beta=90.00 gamma=120.00
Space group R-3m (No. 166, hexagonal axes)
One atom of each set of equivalent atoms:
Tb  0.0000  0.0000  0.0000
Tb  0.0000  0.0000  0.2884
Tb  0.0000  0.0000  0.4302
Er  0.0000  0.0000  0.1462

Top 10 peaks for 2θ = 15–90°, low angle first:
2theta  I (rel.)  index
31.72  100  1 1 0
45.47  18  0 2 7
56.35  9  0 1 14
56.55  29  3 0 0
66.15  6  2 0 14
66.37  6  2 2 0
75.25  8  1 2 14
75.41  8  1 3 7
83.73  1  0 0 21
84.14  3  4 0 7

***

[9]
The following is a calculated powder diffraction line list of CrRh2S2. It was derived from a structure optimized by DFT (GGA-PBE), using λ = 1.5418 Å (Cu Kα).

Structural model:
Unit cell a=6.2834 b=6.2834 c=3.5044 alpha=90.00 beta=90.00 gamma=90.00
Space group P4/mbm (No. 127)
One atom of each set of equivalent atoms:
Cr  0.0000  0.0000  0.0000
Rh  0.1580  0.3420  0.5000
S  0.1673  0.6673  0.0000

Top 10 peaks for 2θ = 15–90°, low angle first:
2theta  I (rel.)  index
31.85  29  2 1 0
32.54  22  1 1 1
38.48  15  2 0 1
41.18  100  2 1 1
45.66  33  3 1 0
52.20  15  0 0 2
66.96  16  4 1 1
68.82  9  3 3 1
71.83  16  3 1 2
88.27  14  5 2 1

***

[10]
The following is a calculated powder diffraction line list of RbVZn. It was derived from a structure optimized by DFT (GGA-PBE), using λ = 1.5418 Å (Cu Kα).

Structural model:
Unit cell a=3.3119 b=3.3142 c=14.0800 alpha=95.23 beta=90.68 gamma=90.00
Space group P-1 (No. 2)
One atom of each set of equivalent atoms:
Rb  0.2320  0.1188  0.1627
V  0.2480  0.2343  0.4594
Zn  0.2570  0.3063  0.6445

Top 10 peaks for 2θ = 15–90°, low angle first:
2theta  I (rel.)  index
25.41  29  0 0 4
29.70  36  1 0 -2
29.98  38  1 0 2
30.98  28  0 1 2
35.62  28  0 1 -4
37.12  31  1 0 -4
37.59  28  1 0 4
38.51  100  1 -1 0
38.63  45  1 1 -1
55.48  33  2 0 0

***

[11]
The following is a calculated powder diffraction line list of SrPrEr4S8. It was derived from a structure optimized by DFT (GGA-PBE), using λ = 1.5418 Å (Cu Kα).

Structural model:
Unit cell a=8.1158 b=8.1158 c=20.2861 alpha=90.00 beta=90.00 gamma=120.00
Space group R3m (No. 160, hexagonal axes)
One atom of each set of equivalent atoms:
Sr  0.0000  0.0000  0.0000
Pr  0.0000  0.0000  0.6287
Er  0.0000  0.0000  0.2523
Er  0.1690  0.3381  0.4597
S  0.0000  0.0000  0.3846
S  0.0000  0.0000  0.8618
S  0.0310  0.5155  0.3864
S  0.1725  0.3449  0.2040

Top 10 peaks for 2θ = 15–90°, low angle first:
2theta  I (rel.)  index
25.35  48  0 1 5
25.60  100  1 1 3
25.73  56  0 2 1
26.85  26  2 0 2
30.96  54  0 2 4
40.34  26  0 2 7
40.59  35  1 2 5
40.76  30  0 3 3
44.04  61  2 0 8
44.66  61  2 2 0

***

[12]
The following is a calculated powder diffraction line list of NpCuHgBr6. It was derived from a structure optimized by DFT (GGA-PBE), using λ = 1.5418 Å (Cu Kα).

Structural model:
Unit cell a=6.7112 b=6.7505 c=9.4280 alpha=89.96 beta=89.62 gamma=60.41
Space group P1 (No. 1)
One atom of each set of equivalent atoms:
Np  0.0000  0.0000  0.0000
Cu  0.3318  0.3295  0.9994
Hg  0.6687  0.6635  0.4998
Br  0.0161  0.6623  0.8336
Br  0.0226  0.3212  0.1655
Br  0.3209  0.0202  0.8307
Br  0.3216  0.6606  0.1638
Br  0.6567  0.3209  0.8364
Br  0.6612  0.0180  0.1694

Top 10 peaks for 2θ = 15–90°, low angle first:
2theta  I (rel.)  index
17.81  100  1 0 1
17.92  98  1 1 1
28.07  32  -1 1 1
32.21  27  2 2 -1
32.32  20  0 1 3
32.46  65  1 -1 2
32.62  60  1 2 2
32.87  49  2 1 -2
47.00  37  2 1 4
58.03  25  -2 2 2